No. 1
Starting from a structure optimized by DFT (PBE), the powder XRD pattern of BaLi2SmAu4 was calculated for λ = 1.5418 Å (Cu Kα).
Peak positions follow from Bragg's law for the DFT cell and can differ from measured ones.

Cell and atoms:
Cell: 4.6139 4.6139 30.9543 Å, 90.00 90.00 120.00°
Space group R-3m (No. 166, hexagonal axes)
Inequivalent atoms, fractional coordinates:
Ba  0.0000  0.0000  0.0000 (multiplicity 3)
Li  0.0000  0.0000  0.2421 (multiplicity 6)
Sm  0.0000  0.0000  0.5000 (multiplicity 3)
Au  0.0000  0.0000  0.1142 (multiplicity 6)
Au  0.0000  0.0000  0.4022 (multiplicity 6)

Principal peaks in the range 2θ = 5–70°, in order of rising 2θ:
h k l  two_theta  d_spacing  Rel. int.
0 1 2  22.99  3.869  69
1 0 4  25.08  3.550  41
0 1 8  32.20  2.780  72
1 0 10  36.73  2.447  84
1 1 0  39.04  2.307  100
2 0 8  51.48  1.775  19
0 2 10  54.68  1.679  27
2 1 10  69.22  1.357  27

---

No. 2
Starting from a structure optimized by DFT (PBE), the powder XRD pattern of Ba3Mg2Au3 was calculated for λ = 1.5418 Å (Cu Kα).
Peak positions follow from Bragg's law for the DFT cell and can differ from measured ones.

Cell and atoms:
Cell: 8.677 16.383 7.302 Å, 90.00 90.00 90.00°
Space group Pnma (No. 62)
Inequivalent atoms, fractional coordinates:
Ba  0.022  0.106  0.158 (multiplicity 8)
Ba  0.174  0.250  0.627 (multiplicity 4)
Mg  0.122  0.589  0.375 (multiplicity 8)
Au  0.181  0.750  0.560 (multiplicity 4)
Au  0.189  0.046  0.593 (multiplicity 8)

Principal peaks in the range 2θ = 5–70°, in order of rising 2θ:
h k l  two_theta  d_spacing  Rel. int.
1 3 1  22.77  3.905  64
1 0 2  26.49  3.365  100
1 4 1  27.01  3.301  72
2 3 1  28.99  3.080  45
2 4 0  30.00  2.978  67
1 3 2  31.22  2.865  50
0 6 0  32.82  2.729  48
3 0 1  33.32  2.689  89

---

No. 3
Starting from a structure optimized by DFT (PBE), the powder XRD pattern of Ba5Mg4Au4 was calculated for λ = 1.5418 Å (Cu Kα).
Peak positions follow from Bragg's law for the DFT cell and can differ from measured ones.

Cell and atoms:
Cell: 13.141 13.141 4.761 Å, 90.00 90.00 90.00°
Space group I4/m (No. 87)
Inequivalent atoms, fractional coordinates:
Ba  0.000  0.000  0.000 (multiplicity 2)
Ba  0.132  0.793  0.500 (multiplicity 8)
Mg  0.069  0.400  0.500 (multiplicity 8)
Au  0.050  0.274  0.000 (multiplicity 8)

Principal peaks in the range 2θ = 5–70°, in order of rising 2θ:
h k l  two_theta  d_spacing  Rel. int.
2 1 1  24.06  3.699  52
3 0 1  27.67  3.224  100
4 2 0  30.42  2.938  42
3 2 1  30.90  2.894  44
1 4 1  33.85  2.648  50
0 0 2  37.79  2.381  32
4 3 1  39.15  2.301  30
7 2 1  54.36  1.688  26

---

No. 4
Starting from a structure optimized by DFT (PBE), the powder XRD pattern of Ba8MgAu4 was calculated for λ = 1.5418 Å (Cu Kα).
Peak positions follow from Bragg's law for the DFT cell and can differ from measured ones.

Cell and atoms:
Cell: 20.828 4.872 15.280 Å, 90.00 131.45 90.00°
Space group Cm (No. 8)
Inequivalent atoms, fractional coordinates:
Ba  0.000  0.000  0.000 (multiplicity 2)
Ba  0.002  0.000  0.567 (multiplicity 2)
Ba  0.072  0.000  0.345 (multiplicity 2)
Ba  0.140  0.500  0.917 (multiplicity 2)
Ba  0.216  0.500  0.293 (multiplicity 2)
Ba  0.284  0.000  0.866 (multiplicity 2)
Ba  0.353  0.000  0.644 (multiplicity 2)
Ba  0.356  0.000  0.210 (multiplicity 2)
Mg  0.178  0.500  0.604 (multiplicity 2)
Au  0.000  0.000  0.782 (multiplicity 2)
Au  0.356  0.000  0.428 (multiplicity 2)
Au  0.365  0.500  0.066 (multiplicity 2)
Au  0.491  0.000  0.145 (multiplicity 2)

Principal peaks in the range 2θ = 5–70°, in order of rising 2θ:
h k l  two_theta  d_spacing  Rel. int.
2 0 0  11.34  7.806  94
2 0 -2  11.64  7.605  85
3 1 0  25.04  3.556  100
3 1 1  29.48  3.030  90
5 1 -1  30.35  2.945  81
5 1 -4  30.79  2.904  72
7 1 -4  35.68  2.517  86
0 2 0  36.90  2.436  78

---

No. 5
Starting from a structure optimized by DFT (PBE), the powder XRD pattern of BaMgAu2 was calculated for λ = 1.5418 Å (Cu Kα).
Peak positions follow from Bragg's law for the DFT cell and can differ from measured ones.

Cell and atoms:
Cell: 8.104 4.676 6.585 Å, 90.00 113.97 90.00°
Space group Cm (No. 8)
Inequivalent atoms, fractional coordinates:
Ba  0.000  0.000  0.000 (multiplicity 2)
Mg  0.193  0.000  0.574 (multiplicity 2)
Au  0.046  0.500  0.635 (multiplicity 2)
Au  0.307  0.500  0.415 (multiplicity 2)

Principal peaks in the range 2θ = 5–70°, in order of rising 2θ:
h k l  two_theta  d_spacing  Rel. int.
0 0 1  14.72  6.017  33
1 1 0  22.50  3.952  45
2 0 -2  29.64  3.014  100
2 0 1  33.16  2.701  16
1 1 -2  33.28  2.692  32
0 2 0  38.49  2.339  76
1 1 2  41.47  2.177  19
2 2 -2  49.38  1.846  23

---

No. 6
Starting from a structure optimized by DFT (PBE), the powder XRD pattern of Ba3Mg4Au4 was calculated for λ = 1.5418 Å (Cu Kα).
Peak positions follow from Bragg's law for the DFT cell and can differ from measured ones.

Cell and atoms:
Cell: 8.614 8.614 8.614 Å, 90.00 90.00 90.00°
Space group I-43m (No. 217)
Inequivalent atoms, fractional coordinates:
Ba  0.000  0.000  0.500 (multiplicity 6)
Mg  0.132  0.132  0.132 (multiplicity 8)
Au  0.185  0.185  0.815 (multiplicity 8)

Principal peaks in the range 2θ = 5–70°, in order of rising 2θ:
h k l  two_theta  d_spacing  Rel. int.
2 1 1  25.33  3.517  100
2 2 0  29.33  3.046  88
3 1 0  32.88  2.724  52
4 1 1  44.63  2.030  65
3 3 2  49.64  1.837  27
4 2 2  52.01  1.758  18
5 3 0  62.91  1.477  22
6 0 0  64.96  1.436  24

---

No. 7
Starting from a structure optimized by DFT (PBE), the powder XRD pattern of BaMg4Au4 was calculated for λ = 1.5418 Å (Cu Kα).
Peak positions follow from Bragg's law for the DFT cell and can differ from measured ones.

Cell and atoms:
Cell: 6.949 6.949 8.877 Å, 90.00 90.00 90.00°
Space group P4_2/nmc (No. 137, origin choice 2)
Inequivalent atoms, fractional coordinates:
Ba  0.250  0.750  0.250 (multiplicity 2)
Mg  0.002  0.750  0.626 (multiplicity 8)
Au  0.049  0.250  0.068 (multiplicity 8)

Principal peaks in the range 2θ = 5–70°, in order of rising 2θ:
h k l  two_theta  d_spacing  Rel. int.
1 0 2  23.79  3.740  48
2 0 1  27.57  3.236  100
2 1 1  30.48  2.933  57
1 0 3  32.90  2.722  35
2 2 0  36.57  2.457  27
2 2 2  42.03  2.150  30
3 1 1  42.37  2.133  31
3 0 3  50.01  1.824  43

---

No. 8
Starting from a structure optimized by DFT (PBE), the powder XRD pattern of BaNa2MgAu was calculated for λ = 1.5418 Å (Cu Kα).
Peak positions follow from Bragg's law for the DFT cell and can differ from measured ones.

Cell and atoms:
Cell: 5.698 5.698 5.315 Å, 90.00 90.00 90.00°
Space group P4/mmm (No. 123)
Inequivalent atoms, fractional coordinates:
Ba  0.000  0.000  0.000 (multiplicity 1)
Na  0.000  0.500  0.500 (multiplicity 2)
Mg  0.500  0.500  0.000 (multiplicity 1)
Au  0.500  0.500  0.500 (multiplicity 1)

Principal peaks in the range 2θ = 5–70°, in order of rising 2θ:
h k l  two_theta  d_spacing  Rel. int.
1 1 0  22.06  4.029  56
1 0 1  22.88  3.887  100
2 0 0  31.40  2.849  41
0 0 2  33.73  2.657  17
2 1 1  39.21  2.298  51
1 1 2  40.67  2.218  23
2 2 0  45.00  2.014  15
2 0 2  46.75  1.943  27

---

No. 9
Starting from a structure optimized by DFT (PBE), the powder XRD pattern of Ba2MgAu2O6 was calculated for λ = 1.5418 Å (Cu Kα).
Peak positions follow from Bragg's law for the DFT cell and can differ from measured ones.

Cell and atoms:
Cell: 6.1011 6.1011 17.3680 Å, 90.00 90.00 120.00°
Space group R-3m (No. 166, hexagonal axes)
Inequivalent atoms, fractional coordinates:
Ba  0.0000  0.0000  0.2161 (multiplicity 6)
Mg  0.0000  0.0000  0.0000 (multiplicity 3)
Au  0.0000  0.0000  0.4123 (multiplicity 6)
O  0.0486  0.5243  0.7510 (multiplicity 18)

Principal peaks in the range 2θ = 5–70°, in order of rising 2θ:
h k l  two_theta  d_spacing  Rel. int.
1 0 1  17.54  5.055  41
1 1 0  29.28  3.051  100
0 1 5  30.82  2.901  93
2 0 5  43.04  2.101  61
3 0 0  51.92  1.761  20
1 2 5  52.88  1.731  38
2 2 0  60.72  1.525  16
3 1 5  69.65  1.350  25

---

No. 10
Starting from a structure optimized by DFT (PBE), the powder XRD pattern of Ba2MgScAu6 was calculated for λ = 1.5418 Å (Cu Kα).
Peak positions follow from Bragg's law for the DFT cell and can differ from measured ones.

Cell and atoms:
Cell: 6.495 7.283 7.305 Å, 73.37 63.68 63.66°
Space group P-1 (No. 2)
Inequivalent atoms, fractional coordinates:
Ba  0.239  0.207  0.314 (multiplicity 2)
Mg  0.500  0.500  0.500 (multiplicity 1)
Sc  0.000  0.000  0.000 (multiplicity 1)
Au  0.246  0.262  0.783 (multiplicity 2)
Au  0.251  0.613  0.885 (multiplicity 2)
Au  0.291  0.738  0.217 (multiplicity 2)

Principal peaks in the range 2θ = 5–70°, in order of rising 2θ:
h k l  two_theta  d_spacing  Rel. int.
0 0 1  13.62  6.500  48
0 1 -1  20.38  4.357  29
1 1 -1  26.26  3.394  67
0 2 0  27.46  3.248  64
2 2 2  33.15  2.702  100
2 2 0  34.44  2.604  50
0 2 2  36.89  2.437  41
2 -1 1  39.20  2.298  23

---

No. 11
Starting from a structure optimized by DFT (PBE), the powder XRD pattern of Ba6Au2N was calculated for λ = 1.5418 Å (Cu Kα).
Peak positions follow from Bragg's law for the DFT cell and can differ from measured ones.

Cell and atoms:
Cell: 7.692 8.548 13.424 Å, 90.00 124.01 90.00°
Space group P2_1/c (No. 14)
Inequivalent atoms, fractional coordinates:
Ba  0.109  0.034  0.233 (multiplicity 4)
Ba  0.213  0.706  0.059 (multiplicity 4)
Ba  0.360  0.161  0.061 (multiplicity 4)
Au  0.294  0.107  0.749 (multiplicity 4)
N  0.000  0.000  0.000 (multiplicity 2)

Principal peaks in the range 2θ = 5–70°, in order of rising 2θ:
h k l  two_theta  d_spacing  Rel. int.
0 2 2  26.29  3.390  79
1 0 2  26.52  3.361  74
2 1 -3  26.79  3.327  100
2 0 -4  28.49  3.133  74
1 1 -4  28.87  3.093  80
0 2 3  31.95  2.801  60
0 0 4  32.20  2.780  64
1 3 0  34.50  2.600  67

---

No. 12
Starting from a structure optimized by DFT (PBE), the powder XRD pattern of Ba5Au2N2 was calculated for λ = 1.5418 Å (Cu Kα).
Peak positions follow from Bragg's law for the DFT cell and can differ from measured ones.

Cell and atoms:
Cell: 17.436 4.750 7.800 Å, 90.00 95.36 90.00°
Space group C2/m (No. 12)
Inequivalent atoms, fractional coordinates:
Ba  0.000  0.000  0.000 (multiplicity 2)
Ba  0.121  0.000  0.601 (multiplicity 4)
Ba  0.180  0.500  0.079 (multiplicity 4)
Au  0.021  0.500  0.326 (multiplicity 4)
N  0.160  0.000  0.915 (multiplicity 4)

Principal peaks in the range 2θ = 5–70°, in order of rising 2θ:
h k l  two_theta  d_spacing  Rel. int.
2 0 0  10.19  8.680  72
1 1 1  22.78  3.904  27
3 1 -1  26.23  3.398  26
3 1 1  27.48  3.246  100
6 0 -1  31.95  2.801  56
3 1 -2  32.56  2.750  53
0 2 0  37.88  2.375  34
6 2 0  49.69  1.835  22